Record 1
Simulated XRD peak list of TlRe for λ = 1.5418 Å (Cu Kα), from a structure optimized by DFT (PBE).
Lines closer than 0.1° are merged.

The 10 most intense peaks (2θ = 10–90°), most intense first:
Position (°2θ)  d [Å]  Rel. int.
37.24  2.415  1000
28.61  3.120  431
37.42  2.404  318
46.94  1.936  263
61.51  1.508  238
55.68  1.651  203
29.03  3.076  200
67.38  1.390  181
85.42  1.137  125
48.04  1.894  102

Cell and atoms:
```
data_TlRe
_cell_length_a 6.789
_cell_length_b 6.789
_cell_length_c 6.789
_cell_angle_alpha 153.31
_cell_angle_beta 138.53
_cell_angle_gamma 50.01
_symmetry_space_group_name_H-M 'P 1'
_symmetry_Int_Tables_number 1
loop_
_symmetry_equiv_pos_as_xyz
'x,y,z'
loop_
_atom_site_label
_atom_site_type_symbol
_atom_site_fract_x
_atom_site_fract_y
_atom_site_fract_z
Tl1 Tl 0.354 0.104 0.250
Tl2 Tl 0.646 0.896 0.750
Re1 Re 0.072 0.322 0.750
Re2 Re 0.928 0.678 0.250
```

---

Record 2
Simulated XRD peak list of TlRe for λ = 1.5418 Å (Cu Kα), from a structure optimized by DFT (PBE).
Lines closer than 0.1° are merged.

The 10 most intense peaks (2θ = 10–90°), most intense first:
Position (°2θ)  d [Å]  Rel. int.
36.10  2.488  1000
37.80  2.380  253
67.15  1.394  168
45.21  2.006  154
60.35  1.534  132
77.46  1.232  114
42.50  2.127  104
36.89  2.436  100
58.17  1.586  83
72.20  1.308  77

Cell and atoms:
```
data_TlRe
_cell_length_a 5.271
_cell_length_b 5.271
_cell_length_c 5.271
_cell_angle_alpha 135.27
_cell_angle_beta 126.32
_cell_angle_gamma 72.38
_symmetry_space_group_name_H-M 'P 1'
_symmetry_Int_Tables_number 1
loop_
_symmetry_equiv_pos_as_xyz
'x,y,z'
loop_
_atom_site_label
_atom_site_type_symbol
_atom_site_fract_x
_atom_site_fract_y
_atom_site_fract_z
Tl1 Tl 0.361 0.111 0.250
Tl2 Tl 0.639 0.889 0.750
Re1 Re 0.086 0.336 0.750
Re2 Re 0.914 0.664 0.250
```

---

Record 3
Simulated XRD peak list of V2ReW for λ = 1.5418 Å (Cu Kα), from a structure optimized by DFT (PBE).
Lines closer than 0.1° are merged.

The 6 most intense peaks (2θ = 10–90°), most intense first:
Position (°2θ)  d [Å]  Rel. int.
41.71  2.165  1000
29.16  3.062  416
76.14  1.250  334
60.46  1.531  165
68.51  1.370  164
51.70  1.768  122

Cell and atoms:
```
data_V2ReW
_cell_length_a 4.331
_cell_length_b 4.331
_cell_length_c 4.331
_cell_angle_alpha 60.00
_cell_angle_beta 60.00
_cell_angle_gamma 60.00
_symmetry_space_group_name_H-M 'P 1'
_symmetry_Int_Tables_number 1
loop_
_symmetry_equiv_pos_as_xyz
'x,y,z'
loop_
_atom_site_label
_atom_site_type_symbol
_atom_site_fract_x
_atom_site_fract_y
_atom_site_fract_z
V1 V 0.250 0.250 0.250
V2 V 0.750 0.750 0.750
Re1 Re 0.000 0.000 0.000
W1 W 0.500 0.500 0.500
```

---

Record 4
Simulated XRD peak list of ReW4 for λ = 1.5418 Å (Cu Kα), from a structure optimized by DFT (PBE).
Lines closer than 0.1° are merged.

The 8 most intense peaks (2θ = 10–90°), most intense first:
Position (°2θ)  d [Å]  Rel. int.
40.19  2.244  1000
72.98  1.296  211
73.15  1.294  210
58.16  1.586  206
40.27  2.240  199
86.87  1.121  92
86.62  1.124  23
87.01  1.120  23

Cell and atoms:
```
data_ReW4
_cell_length_a 11.422
_cell_length_b 11.310
_cell_length_c 2.750
_cell_angle_alpha 85.37
_cell_angle_beta 80.74
_cell_angle_gamma 13.89
_symmetry_space_group_name_H-M 'P 1'
_symmetry_Int_Tables_number 1
loop_
_symmetry_equiv_pos_as_xyz
'x,y,z'
loop_
_atom_site_label
_atom_site_type_symbol
_atom_site_fract_x
_atom_site_fract_y
_atom_site_fract_z
Re1 Re 0.000 0.000 0.000
W1 W 0.200 0.200 0.800
W2 W 0.400 0.400 0.600
W3 W 0.600 0.600 0.400
W4 W 0.800 0.800 0.200
```

---

Record 5
Simulated XRD peak list of Re2W for λ = 1.5418 Å (Cu Kα), from a structure optimized by DFT (PBE).
Lines closer than 0.1° are merged.

The 10 most intense peaks (2θ = 10–90°), most intense first:
Position (°2θ)  d [Å]  Rel. int.
41.23  2.189  1000
42.04  2.149  931
38.04  2.366  750
70.33  1.339  317
73.81  1.284  294
66.96  1.397  293
34.94  2.568  282
64.72  1.440  268
46.22  1.964  223
43.17  2.095  193

Cell and atoms:
```
data_Re2W
_cell_length_a 5.135
_cell_length_b 5.135
_cell_length_c 8.381
_cell_angle_alpha 90.00
_cell_angle_beta 90.00
_cell_angle_gamma 120.00
_symmetry_space_group_name_H-M 'P 1'
_symmetry_Int_Tables_number 1
loop_
_symmetry_equiv_pos_as_xyz
'x,y,z'
loop_
_atom_site_label
_atom_site_type_symbol
_atom_site_fract_x
_atom_site_fract_y
_atom_site_fract_z
Re1 Re 0.000 0.000 0.000
Re2 Re 0.000 0.000 0.500
Re3 Re 0.172 0.345 0.250
Re4 Re 0.172 0.828 0.250
Re5 Re 0.345 0.172 0.750
Re6 Re 0.655 0.828 0.250
Re7 Re 0.828 0.172 0.750
Re8 Re 0.828 0.655 0.750
W1 W 0.333 0.667 0.567
W2 W 0.333 0.667 0.933
W3 W 0.667 0.333 0.067
W4 W 0.667 0.333 0.433
```

---

Record 6
Simulated XRD peak list of Re3W for λ = 1.5418 Å (Cu Kα), from a structure optimized by DFT (PBE).
Lines closer than 0.1° are merged.

The 8 most intense peaks (2θ = 10–90°), most intense first:
Position (°2θ)  d [Å]  Rel. int.
39.50  2.281  1000
45.86  1.979  329
80.53  1.193  260
67.04  1.396  214
46.09  1.970  162
80.86  1.189  129
85.04  1.141  115
66.87  1.399  108

Cell and atoms:
```
data_Re3W
_cell_length_a 4.832
_cell_length_b 4.832
_cell_length_c 4.832
_cell_angle_alpha 131.65
_cell_angle_beta 131.65
_cell_angle_gamma 70.78
_symmetry_space_group_name_H-M 'P 1'
_symmetry_Int_Tables_number 1
loop_
_symmetry_equiv_pos_as_xyz
'x,y,z'
loop_
_atom_site_label
_atom_site_type_symbol
_atom_site_fract_x
_atom_site_fract_y
_atom_site_fract_z
Re1 Re 0.000 0.000 0.000
Re2 Re 0.250 0.750 0.500
Re3 Re 0.750 0.250 0.500
W1 W 0.500 0.500 0.000
```

---

Record 7
Simulated XRD peak list of Re3W for λ = 1.5418 Å (Cu Kα), from a structure optimized by DFT (PBE).
Lines closer than 0.1° are merged.

The 10 most intense peaks (2θ = 10–90°), most intense first:
Position (°2θ)  d [Å]  Rel. int.
42.28  2.138  1000
39.60  2.276  267
37.13  2.421  238
80.65  1.191  208
73.68  1.286  198
66.93  1.398  173
55.40  1.658  152
82.43  1.170  149
85.29  1.138  31
79.10  1.211  27

Cell and atoms:
```
data_Re3W
_cell_length_a 5.592
_cell_length_b 5.592
_cell_length_c 4.552
_cell_angle_alpha 90.00
_cell_angle_beta 90.00
_cell_angle_gamma 120.00
_symmetry_space_group_name_H-M 'P 1'
_symmetry_Int_Tables_number 1
loop_
_symmetry_equiv_pos_as_xyz
'x,y,z'
loop_
_atom_site_label
_atom_site_type_symbol
_atom_site_fract_x
_atom_site_fract_y
_atom_site_fract_z
Re1 Re 0.166 0.333 0.250
Re2 Re 0.166 0.834 0.250
Re3 Re 0.333 0.166 0.750
Re4 Re 0.667 0.834 0.250
Re5 Re 0.834 0.166 0.750
Re6 Re 0.834 0.667 0.750
W1 W 0.333 0.667 0.750
W2 W 0.667 0.333 0.250
```

---

Record 8
Simulated XRD peak list of ReW2 for λ = 1.5418 Å (Cu Kα), from a structure optimized by DFT (PBE).
Lines closer than 0.1° are merged.

The 8 most intense peaks (2θ = 10–90°), most intense first:
Position (°2θ)  d [Å]  Rel. int.
40.31  2.237  1000
40.18  2.245  505
73.10  1.295  353
73.37  1.290  175
58.12  1.587  173
87.12  1.119  116
58.52  1.577  85
86.77  1.122  58

Cell and atoms:
```
data_ReW2
_cell_length_a 7.098
_cell_length_b 6.916
_cell_length_c 2.743
_cell_angle_alpha 82.47
_cell_angle_beta 75.00
_cell_angle_gamma 22.53
_symmetry_space_group_name_H-M 'P 1'
_symmetry_Int_Tables_number 1
loop_
_symmetry_equiv_pos_as_xyz
'x,y,z'
loop_
_atom_site_label
_atom_site_type_symbol
_atom_site_fract_x
_atom_site_fract_y
_atom_site_fract_z
Re1 Re 0.000 0.000 0.000
W1 W 0.334 0.334 0.666
W2 W 0.666 0.666 0.334
```

---

Record 9
Simulated XRD peak list of YRe2 for λ = 1.5418 Å (Cu Kα), from a structure optimized by DFT (PBE).
Lines closer than 0.1° are merged.

The 10 most intense peaks (2θ = 10–90°), most intense first:
Position (°2θ)  d [Å]  Rel. int.
39.60  2.276  1000
38.86  2.317  891
35.90  2.502  450
43.52  2.079  418
18.84  4.710  306
65.99  1.416  297
40.75  2.214  288
69.08  1.360  281
83.41  1.159  223
62.79  1.480  221

Cell and atoms:
```
data_YRe2
_cell_length_a 5.439
_cell_length_b 5.439
_cell_length_c 8.857
_cell_angle_alpha 90.00
_cell_angle_beta 90.00
_cell_angle_gamma 120.00
_symmetry_space_group_name_H-M 'P 1'
_symmetry_Int_Tables_number 1
loop_
_symmetry_equiv_pos_as_xyz
'x,y,z'
loop_
_atom_site_label
_atom_site_type_symbol
_atom_site_fract_x
_atom_site_fract_y
_atom_site_fract_z
Y1 Y 0.333 0.667 0.063
Y2 Y 0.333 0.667 0.437
Y3 Y 0.667 0.333 0.563
Y4 Y 0.667 0.333 0.937
Re1 Re 0.000 0.000 0.000
Re2 Re 0.000 0.000 0.500
Re3 Re 0.171 0.342 0.750
Re4 Re 0.171 0.829 0.750
Re5 Re 0.342 0.171 0.250
Re6 Re 0.658 0.829 0.750
Re7 Re 0.829 0.171 0.250
Re8 Re 0.829 0.658 0.250
```

---

Record 10
Simulated XRD peak list of ZnRe for λ = 1.5418 Å (Cu Kα), from a structure optimized by DFT (PBE).
Lines closer than 0.1° are merged.

The 10 most intense peaks (2θ = 10–90°), most intense first:
Position (°2θ)  d [Å]  Rel. int.
43.00  2.103  1000
37.80  2.380  354
19.75  4.494  289
40.13  2.247  254
56.31  1.634  228
74.90  1.268  193
82.24  1.172  188
68.25  1.374  157
84.16  1.150  144
71.84  1.314  58

Cell and atoms:
```
data_ZnRe
_cell_length_a 2.748
_cell_length_b 2.748
_cell_length_c 4.494
_cell_angle_alpha 90.00
_cell_angle_beta 90.00
_cell_angle_gamma 120.00
_symmetry_space_group_name_H-M 'P 1'
_symmetry_Int_Tables_number 1
loop_
_symmetry_equiv_pos_as_xyz
'x,y,z'
loop_
_atom_site_label
_atom_site_type_symbol
_atom_site_fract_x
_atom_site_fract_y
_atom_site_fract_z
Zn1 Zn 0.000 0.000 0.000
Re1 Re 0.333 0.667 0.500
```

---

Record 11
Simulated XRD peak list of ZrRe2 for λ = 1.5418 Å (Cu Kα), from a structure optimized by DFT (PBE).
Lines closer than 0.1° are merged.

The 10 most intense peaks (2θ = 10–90°), most intense first:
Position (°2θ)  d [Å]  Rel. int.
40.57  2.223  1000
39.78  2.266  913
36.66  2.452  464
44.57  2.033  412
67.54  1.387  302
41.56  2.173  296
19.30  4.600  295
70.98  1.328  280
85.75  1.133  228
64.44  1.446  223

Cell and atoms:
```
data_ZrRe2
_cell_length_a 5.312
_cell_length_b 5.312
_cell_length_c 8.692
_cell_angle_alpha 90.00
_cell_angle_beta 90.00
_cell_angle_gamma 120.00
_symmetry_space_group_name_H-M 'P 1'
_symmetry_Int_Tables_number 1
loop_
_symmetry_equiv_pos_as_xyz
'x,y,z'
loop_
_atom_site_label
_atom_site_type_symbol
_atom_site_fract_x
_atom_site_fract_y
_atom_site_fract_z
Zr1 Zr 0.333 0.667 0.062
Zr2 Zr 0.333 0.667 0.438
Zr3 Zr 0.667 0.333 0.562
Zr4 Zr 0.667 0.333 0.938
Re1 Re 0.000 0.000 0.000
Re2 Re 0.000 0.000 0.500
Re3 Re 0.171 0.343 0.750
Re4 Re 0.171 0.829 0.750
Re5 Re 0.343 0.171 0.250
Re6 Re 0.657 0.829 0.750
Re7 Re 0.829 0.171 0.250
Re8 Re 0.829 0.657 0.250
```

---

Record 12
Simulated XRD peak list of Ru3Rh for λ = 1.5418 Å (Cu Kα), from a structure optimized by DFT (PBE).
Lines closer than 0.1° are merged.

The 9 most intense peaks (2θ = 10–90°), most intense first:
Position (°2θ)  d [Å]  Rel. int.
43.55  2.078  1000
41.80  2.161  250
37.96  2.370  247
83.65  1.156  194
77.54  1.231  176
68.58  1.368  167
57.73  1.597  142
84.84  1.143  141
81.17  1.185  26

Cell and atoms:
```
data_Ru3Rh
_cell_length_a 5.473
_cell_length_b 5.473
_cell_length_c 4.322
_cell_angle_alpha 90.00
_cell_angle_beta 90.00
_cell_angle_gamma 120.00
_symmetry_space_group_name_H-M 'P 1'
_symmetry_Int_Tables_number 1
loop_
_symmetry_equiv_pos_as_xyz
'x,y,z'
loop_
_atom_site_label
_atom_site_type_symbol
_atom_site_fract_x
_atom_site_fract_y
_atom_site_fract_z
Ru1 Ru 0.166 0.333 0.250
Ru2 Ru 0.166 0.834 0.250
Ru3 Ru 0.333 0.166 0.750
Ru4 Ru 0.667 0.834 0.250
Ru5 Ru 0.834 0.166 0.750
Ru6 Ru 0.834 0.667 0.750
Rh1 Rh 0.333 0.667 0.750
Rh2 Rh 0.667 0.333 0.250
```